[1]
For MoRuRh, a structure optimized by DFT (GGA-PBE) gives the simulated powder diffractogram in this record (Cu Kα (weighted mean of Kα1 and Kα2)).

Largest 10 diffraction maxima, low angle first, 10° ≤ 2θ ≤ 90°:
2θ (°)  I (rel.)
37.2  13.4
37.4  23.7
41.6  36.4
42.8  48.7
43.0  100.0
57.1  13.4
67.2  16.8
76.8  17.4
82.2  19.2
83.3  13.6

Cell and atoms:
```
6
Lattice="4.3456 0.0000 0.0000 0.0000 2.4172 4.1615 0.0000 -2.4172 4.1615" Properties=species:S:1:pos:R:3 pbc="T T T"
Mo 1.0864 -1.5711 4.1615
Mo 3.2592 1.5711 4.1615
Ru 1.0864 0.7936 5.5123
Ru 3.2592 -0.7936 5.5123
Rh 1.0864 0.8040 2.7255
Rh 3.2592 -0.8040 2.7255
```

---

[2]
For Tb2Sc2In7, a structure optimized by DFT (GGA-PBE) gives the simulated powder diffractogram in this record (Cu Kα (weighted mean of Kα1 and Kα2)).

Largest 10 diffraction maxima, low angle first, 10° ≤ 2θ ≤ 90°:
2θ (°)  I (rel.)
23.4  47.6
24.2  51.8
28.4  37.4
32.2  74.5
32.5  73.7
34.0  29.4
36.5  32.2
38.7  100.0
39.8  49.3
49.7  25.8

Cell and atoms:
```
11
Lattice="4.9191 -5.5158 0.0000 4.9191 5.5158 0.0000 0.0000 0.0000 6.0094" Properties=species:S:1:pos:R:3 pbc="T T T"
Tb 1.8881 0.0000 0.0000
Tb 7.9502 0.0000 0.0000
Sc 4.9191 2.5658 3.0047
Sc 4.9191 -2.5658 3.0047
In 0.0000 0.0000 3.0047
In 2.4596 2.7579 1.4516
In 2.4596 2.7579 4.5578
In 2.4596 -2.7579 1.4516
In 2.4596 -2.7579 4.5578
In 4.9191 0.0000 1.4472
In 4.9191 0.0000 4.5622
```

---

[3]
For LiBAsO4, a structure optimized by DFT (GGA-PBE) gives the simulated powder diffractogram in this record (Cu Kα (weighted mean of Kα1 and Kα2)).

Largest 10 diffraction maxima, low angle first, 10° ≤ 2θ ≤ 90°:
2θ (°)  I (rel.)
22.7  100.0
25.4  12.5
26.8  20.3
37.2  47.8
43.2  13.3
44.9  27.0
46.4  14.3
59.0  14.5
66.4  11.4
68.4  10.8

Cell and atoms:
```
7
Lattice="-2.3544 2.3544 3.5114 2.3544 -2.3544 3.5114 2.3544 2.3544 -3.5114" Properties=species:S:1:pos:R:3 pbc="T T T"
Li 0.0000 0.0000 0.0000
B 2.3544 0.0000 1.7557
As 0.0000 0.0000 3.5114
O 1.4251 -0.8302 2.5725
O 1.5242 0.9294 0.9390
O 0.9294 3.1847 -0.9390
O 0.8302 1.4251 4.4504
```